Record 1
Structure and simulated X-ray diffraction stick pattern of LiV2OF5 (DFT lattice parameters and positions (PBE+U); copper Kα).

Top 10 peaks for 10 to 90 degrees two-theta, by angle:
23.3°, rel. 93; 23.5°, rel. 98; 23.6°, rel. 100; 32.3°, rel. 20; 32.5°, rel. 47; 39.4°, rel. 32; 39.5°, rel. 30; 48.0°, rel. 19; 52.6°, rel. 26; 52.7°, rel. 29

Cell and atoms:
Cell lengths 5.232, 5.530, 12.876 Å; angles 86.79, 88.95, 62.04 degrees
Fractional positions:
Li  0.000  0.000  0.000
Li  0.010  0.008  0.475
Li  0.312  0.350  0.660
V  0.279  0.417  0.416
V  0.288  0.439  0.909
V  0.589  0.799  0.580
V  0.593  0.783  0.088
V  0.910  0.131  0.753
V  0.962  0.096  0.240
O  0.207  0.973  0.128
O  0.327  0.110  0.502
O  0.523  0.318  0.790
F  0.059  0.231  0.884
F  0.148  0.313  0.294
F  0.209  0.782  0.350
F  0.338  0.951  0.704
F  0.373  0.579  0.547
F  0.443  0.678  0.959
F  0.578  0.117  0.000
F  0.670  0.430  0.159
F  0.702  0.233  0.374
F  0.752  0.890  0.206
F  0.811  0.011  0.615
F  0.865  0.644  0.465
F  0.896  0.460  0.668
F  0.996  0.777  0.824
F  0.999  0.608  0.025



Record 2
Structure and simulated X-ray diffraction stick pattern of Li3V4O11F (DFT lattice parameters and positions (PBE+U); copper Kα).

Top 10 peaks for 10 to 90 degrees two-theta, by angle:
17.9°, rel. 100; 20.3°, rel. 17; 20.9°, rel. 22; 21.4°, rel. 21; 26.6°, rel. 17; 34.9°, rel. 10; 37.2°, rel. 12; 41.4°, rel. 27; 43.1°, rel. 25; 45.7°, rel. 22

Cell and atoms:
Cell lengths 4.991, 4.991, 10.018 Å; angles 90.51, 97.98, 117.47 degrees
Fractional positions:
Li  0.000  0.000  0.000
Li  0.320  0.405  0.541
Li  0.670  0.410  0.993
V  0.101  0.623  0.253
V  0.295  0.000  0.740
V  0.736  0.975  0.281
V  0.971  0.348  0.793
O  0.018  0.677  0.881
O  0.054  0.345  0.143
O  0.219  0.642  0.668
O  0.277  0.289  0.885
O  0.435  0.967  0.169
O  0.491  0.709  0.375
O  0.588  0.267  0.660
O  0.677  0.076  0.880
O  0.816  0.722  0.161
O  0.890  0.357  0.370
O  0.993  0.052  0.657
F  0.126  0.989  0.377



Record 3
Structure and simulated X-ray diffraction stick pattern of Li2VO2F2 (DFT lattice parameters and positions (PBE+U); copper Kα).

Top 10 peaks for 10 to 90 degrees two-theta, by angle:
18.2°, rel. 100; 20.6°, rel. 18; 30.2°, rel. 14; 34.7°, rel. 13; 36.0°, rel. 13; 41.9°, rel. 21; 43.5°, rel. 19; 44.2°, rel. 17; 61.9°, rel. 12; 62.5°, rel. 11

Cell and atoms:
Cell lengths 5.955, 5.955, 8.329 Å; angles 91.10, 91.10, 92.92 degrees
Fractional positions:
Li  0.000  0.000  0.000
Li  0.011  0.494  0.250
Li  0.012  0.742  0.622
Li  0.258  0.988  0.378
Li  0.502  0.498  0.500
Li  0.505  0.244  0.126
Li  0.506  0.989  0.750
Li  0.756  0.495  0.874
V  0.008  0.250  0.620
V  0.258  0.498  0.871
V  0.502  0.742  0.129
V  0.750  0.992  0.380
O  0.025  0.271  0.857
O  0.233  0.485  0.636
O  0.282  0.513  0.113
O  0.487  0.718  0.887
O  0.515  0.767  0.364
O  0.729  0.975  0.143
O  0.775  0.013  0.605
O  0.987  0.225  0.395
F  0.020  0.726  0.868
F  0.235  0.009  0.620
F  0.274  0.980  0.132
F  0.491  0.264  0.880
F  0.515  0.224  0.369
F  0.736  0.509  0.120
F  0.776  0.485  0.631
F  0.991  0.765  0.380



Record 4
Structure and simulated X-ray diffraction stick pattern of Li5VO4F (DFT lattice parameters and positions (PBE+U); copper Kα).

Top 10 peaks for 10 to 90 degrees two-theta, by angle:
18.1°, rel. 41; 19.9°, rel. 17; 20.7°, rel. 41; 21.1°, rel. 73; 22.3°, rel. 100; 27.0°, rel. 47; 34.3°, rel. 24; 38.1°, rel. 22; 40.5°, rel. 33; 43.8°, rel. 66

Cell and atoms:
Cell lengths 5.243, 8.920, 5.378 Å; angles 90.00, 114.27, 90.00 degrees
Fractional positions:
Li  0.185  0.000  0.039
Li  0.201  0.288  0.924
Li  0.246  0.188  0.416
Li  0.292  0.814  0.481
Li  0.293  0.701  0.028
Li  0.707  0.201  0.972
Li  0.708  0.314  0.519
Li  0.754  0.688  0.584
Li  0.799  0.788  0.076
Li  0.815  0.500  0.961
V  0.235  0.517  0.566
V  0.765  0.017  0.434
O  0.055  0.991  0.334
O  0.101  0.633  0.261
O  0.441  0.343  0.699
O  0.496  0.659  0.790
O  0.504  0.159  0.210
O  0.559  0.843  0.301
O  0.899  0.133  0.739
O  0.945  0.491  0.666
F  0.002  0.330  0.181
F  0.998  0.830  0.819



Record 5
Structure and simulated X-ray diffraction stick pattern of LiVOF3 (DFT lattice parameters and positions (PBE+U); copper Kα).

Top 10 peaks for 10 to 90 degrees two-theta, by angle:
14.3°, rel. 100; 20.1°, rel. 47; 20.2°, rel. 24; 26.7°, rel. 61; 28.7°, rel. 29; 30.3°, rel. 39; 30.5°, rel. 27; 39.5°, rel. 39; 39.8°, rel. 36; 54.9°, rel. 32

Cell and atoms:
Cell lengths 7.025, 7.025, 4.726 Å; angles 109.13, 109.13, 39.34 degrees
Fractional positions:
Li  0.000  0.000  0.000
Li  0.504  0.496  0.500
V  0.283  0.331  0.783
V  0.669  0.717  0.217
O  0.021  0.579  0.524
O  0.421  0.979  0.476
F  0.221  0.617  0.128
F  0.383  0.779  0.872
F  0.590  0.015  0.074
F  0.625  0.216  0.718
F  0.784  0.375  0.282
F  0.985  0.410  0.926



Record 6
Structure and simulated X-ray diffraction stick pattern of LiV2OF5 (DFT lattice parameters and positions (PBE+U); copper Kα).

Top 10 peaks for 10 to 90 degrees two-theta, by angle:
23.3°, rel. 49; 23.8°, rel. 100; 32.4°, rel. 27; 39.5°, rel. 17; 40.1°, rel. 30; 48.6°, rel. 19; 52.4°, rel. 17; 53.1°, rel. 17; 53.3°, rel. 16; 62.4°, rel. 15

Cell and atoms:
Cell lengths 5.499, 5.136, 7.670 Å; angles 90.00, 95.42, 90.00 degrees
Fractional positions:
Li  0.000  0.014  0.000
Li  0.000  0.986  0.500
V  0.410  0.018  0.283
V  0.410  0.982  0.783
V  0.929  0.484  0.279
V  0.929  0.516  0.779
O  0.109  0.189  0.228
O  0.109  0.811  0.728
F  0.210  0.290  0.859
F  0.210  0.710  0.359
F  0.415  0.118  0.538
F  0.415  0.882  0.038
F  0.611  0.322  0.220
F  0.611  0.678  0.720
F  0.733  0.183  0.850
F  0.733  0.817  0.350
F  0.923  0.352  0.533
F  0.923  0.648  0.033



Record 7
Structure and simulated X-ray diffraction stick pattern of LiV4OF11 (DFT lattice parameters and positions (PBE+U); copper Kα).

Top 10 peaks for 10 to 90 degrees two-theta, by angle:
23.3°, rel. 100; 23.7°, rel. 49; 32.6°, rel. 28; 39.3°, rel. 14; 39.5°, rel. 12; 39.8°, rel. 11; 47.7°, rel. 21; 52.8°, rel. 13; 52.8°, rel. 15; 53.3°, rel. 13

Cell and atoms:
Cell lengths 5.501, 5.501, 17.702 Å; angles 101.93, 101.93, 57.47 degrees
Fractional positions:
Li  0.171  0.171  0.367
Li  0.829  0.829  0.633
V  0.047  0.084  0.187
V  0.170  0.218  0.564
V  0.290  0.333  0.937
V  0.425  0.488  0.317
V  0.512  0.575  0.683
V  0.667  0.710  0.063
V  0.782  0.830  0.436
V  0.916  0.953  0.813
O  0.229  0.512  0.623
O  0.488  0.771  0.377
F  0.020  0.678  0.349
F  0.024  0.406  0.464
F  0.057  0.496  0.026
F  0.071  0.929  0.500
F  0.074  0.724  0.902
F  0.258  0.695  0.222
F  0.276  0.926  0.098
F  0.305  0.742  0.778
F  0.322  0.980  0.651
F  0.323  0.180  0.254
F  0.504  0.943  0.974
F  0.528  0.171  0.849
F  0.546  0.237  0.401
F  0.579  0.421  0.000
F  0.594  0.976  0.536
F  0.749  0.002  0.125
F  0.763  0.161  0.718
F  0.763  0.454  0.599
F  0.820  0.677  0.746
F  0.829  0.472  0.151
F  0.839  0.237  0.282
F  0.998  0.251  0.875



Record 8
Structure and simulated X-ray diffraction stick pattern of LiV2OF5 (DFT lattice parameters and positions (PBE+U); copper Kα).

Top 10 peaks for 10 to 90 degrees two-theta, by angle:
23.4°, rel. 100; 32.4°, rel. 24; 34.3°, rel. 7; 39.6°, rel. 28; 47.9°, rel. 21; 52.7°, rel. 29; 55.3°, rel. 11; 60.3°, rel. 10; 61.4°, rel. 13; 77.2°, rel. 6

Cell and atoms:
Cell lengths 5.228, 5.228, 13.926 Å; angles 90.00, 90.00, 120.00 degrees
Fractional positions:
Li  0.000  0.307  0.167
Li  0.307  0.000  0.833
Li  0.693  0.693  0.500
V  0.015  0.324  0.420
V  0.309  0.985  0.087
V  0.324  0.015  0.580
V  0.676  0.691  0.753
V  0.691  0.676  0.247
V  0.985  0.309  0.913
O  0.000  0.937  0.167
O  0.063  0.063  0.500
O  0.937  0.000  0.833
F  0.000  0.727  0.667
F  0.059  0.663  0.992
F  0.273  0.273  0.000
F  0.317  0.634  0.828
F  0.318  0.683  0.494
F  0.337  0.395  0.325
F  0.366  0.682  0.161
F  0.395  0.337  0.675
F  0.605  0.941  0.659
F  0.634  0.317  0.172
F  0.663  0.059  0.008
F  0.682  0.366  0.839
F  0.683  0.318  0.506
F  0.727  0.000  0.333
F  0.941  0.605  0.341